For HoRh2, a PBE-relaxed structure gives the calculated powder diffraction line list in this record (CuKα).

The 6 most intense peaks (5° ≤ 2θ ≤ 70°), by angle:
33.60 deg, intensity 43; 39.62 deg, intensity 100; 41.46 deg, intensity 27; 48.25 deg, intensity 1; 60.08 deg, intensity 16; 64.14 deg, intensity 32

Crystal structure
Lattice parameters (Å, degrees): 5.335 5.335 5.335 60.00 60.00 60.00
Positions (direct):
Ho 0.125 0.125 0.125
Ho 0.875 0.875 0.875
Rh 0.000 0.500 0.500
Rh 0.500 0.000 0.500
Rh 0.500 0.500 0.000
Rh 0.500 0.500 0.500

=====

For HgBr6N4, a PBE-relaxed structure gives the calculated powder diffraction line list in this record (CuKα).

The 6 most intense peaks (5° ≤ 2θ ≤ 70°), by angle:
13.03 deg, intensity 100; 19.68 deg, intensity 39; 22.03 deg, intensity 41; 28.02 deg, intensity 68; 31.36 deg, intensity 63; 47.47 deg, intensity 39

Crystal structure
Lattice parameters (Å, degrees): 9.021 9.021 10.337 90.00 90.00 90.00
Positions (direct):
Hg 0.000 0.000 0.000
Hg 0.500 0.500 0.500
Br 0.000 0.000 0.239
Br 0.000 0.000 0.761
Br 0.137 0.339 0.000
Br 0.161 0.363 0.500
Br 0.339 0.863 0.000
Br 0.363 0.839 0.500
Br 0.500 0.500 0.261
Br 0.500 0.500 0.739
Br 0.637 0.161 0.500
Br 0.661 0.137 0.000
Br 0.839 0.637 0.500
Br 0.863 0.661 0.000
N 0.044 0.456 0.250
N 0.044 0.456 0.750
N 0.456 0.956 0.250
N 0.456 0.956 0.750
N 0.544 0.044 0.250
N 0.544 0.044 0.750
N 0.956 0.544 0.250
N 0.956 0.544 0.750

=====

For MnCd4S5, a PBE-relaxed structure gives the calculated powder diffraction line list in this record (CuKα).

The 6 most intense peaks (5° ≤ 2θ ≤ 70°), by angle:
26.24 deg, intensity 100; 30.39 deg, intensity 21; 43.46 deg, intensity 29; 43.58 deg, intensity 28; 51.50 deg, intensity 33; 51.62 deg, intensity 11

Crystal structure
Lattice parameters (Å, degrees): 17.106 17.106 17.106 13.98 13.98 13.98
Positions (direct):
Mn 0.000 0.000 0.000
Cd 0.200 0.200 0.200
Cd 0.398 0.398 0.398
Cd 0.601 0.601 0.601
Cd 0.799 0.799 0.799
S 0.150 0.150 0.150
S 0.347 0.347 0.347
S 0.550 0.550 0.550
S 0.749 0.749 0.749
S 0.952 0.952 0.952

=====

For U2Cl2O, a PBE-relaxed structure gives the calculated powder diffraction line list in this record (CuKα).

The 6 most intense peaks (5° ≤ 2θ ≤ 70°), by angle:
7.13 deg, intensity 100; 21.51 deg, intensity 34; 26.45 deg, intensity 90; 34.34 deg, intensity 44; 37.76 deg, intensity 35; 43.85 deg, intensity 33

Crystal structure
Lattice parameters (Å, degrees): 3.369 3.369 12.396 90.00 90.00 90.00
Positions (direct):
U 0.000 0.000 0.166
U 0.000 0.000 0.834
Cl 0.000 0.000 0.365
Cl 0.000 0.000 0.635
O 0.000 0.000 0.000

=====

For SrBeGe, a PBE-relaxed structure gives the calculated powder diffraction line list in this record (CuKα).

The 6 most intense peaks (5° ≤ 2θ ≤ 70°), by angle:
25.24 deg, intensity 26; 31.86 deg, intensity 100; 38.81 deg, intensity 14; 44.48 deg, intensity 28; 55.75 deg, intensity 20; 60.48 deg, intensity 22

Crystal structure
Lattice parameters (Å, degrees): 4.074 4.074 4.641 90.00 90.00 120.00
Positions (direct):
Sr 0.000 0.000 0.000
Be 0.333 0.667 0.500
Ge 0.667 0.333 0.500

=====

Question: Number 1 is which compound?
Answer: HoRh2